# 1
Er3In2Co: calculated PXRD pattern (a wavelength of 1.5418 Å), based on a structure optimized by DFT (GGA-PBE).
Lines closer than 0.1° are merged.

Structure:
a b c (Å): 7.0741 16.5103 5.0630
angles (deg): 90.00 90.00 90.00
Space group Imma (No. 74)
Unique sites:
Er  0.0000  0.2500  0.2491
Er  0.2500  0.1248  0.7500
In  0.0000  0.0529  0.2500
Co  0.0000  0.2500  0.7490

Main lines, sorted by position (5 to 70 degrees two-theta):
d [Å]	intensity
2.856	100
2.766	87
2.686	94
2.565	47
2.532	66
1.842	62
1.769	22
1.649	17
1.490	27
1.450	23

# 2
Er3Tl2In3Co: calculated PXRD pattern (a wavelength of 1.5418 Å), based on a structure optimized by DFT (GGA-PBE).
Lines closer than 0.1° are merged.

Structure:
a b c (Å): 7.5072 7.5072 4.3710
angles (deg): 90.00 90.00 120.00
Space group P-62m (No. 189)
Unique sites:
Er  0.0000  0.6162  0.0000
Tl  0.3333  0.6667  0.5000
In  0.0000  0.2312  0.5000
Co  0.0000  0.0000  0.0000

Main lines, sorted by position (5 to 70 degrees two-theta):
d [Å]	intensity
2.848	100
2.608	45
2.457	32
2.185	24
2.167	29
2.142	25
1.633	18
1.539	20
1.412	16
1.349	16

# 3
Er12Co6Ir: calculated PXRD pattern (a wavelength of 1.5418 Å), based on a structure optimized by DFT (GGA-PBE).
Lines closer than 0.1° are merged.

Structure:
a b c (Å): 9.4003 9.4003 9.4003
angles (deg): 90.00 90.00 90.00
Space group Im-3 (No. 204)
Unique sites:
Er  0.0000  0.2952  0.1915
Co  0.0000  0.1159  0.5000
Ir  0.0000  0.0000  0.0000

Main lines, sorted by position (5 to 70 degrees two-theta):
d [Å]	intensity
3.324	6
2.973	41
2.714	60
2.512	100
2.350	24
2.216	10
1.844	20
1.612	36
1.567	10
1.525	38

# 4
ErScCoIr: calculated PXRD pattern (a wavelength of 1.5418 Å), based on a structure optimized by DFT (GGA-PBE).
Lines closer than 0.1° are merged.

Structure:
a b c (Å): 6.5539 6.5539 6.5539
angles (deg): 90.00 90.00 90.00
Space group F-43m (No. 216)
Unique sites:
Er  0.0000  0.0000  0.0000
Sc  0.0000  0.0000  0.5000
Co  0.2500  0.2500  0.2500
Ir  0.2500  0.2500  0.7500

Main lines, sorted by position (5 to 70 degrees two-theta):
d [Å]	intensity
3.784	34
3.277	1
2.317	100
1.976	19
1.638	17
1.504	8